Starting from a crystal structure in Alexandria, relaxed with PBE+U, the X-ray diffraction stick pattern of FeOF was computed for Cu Ka.
Kinematic intensities with the Lorentz-polarization factor, no thermal factor.

Cell: 3.104 4.712 4.760 Å, 90.00 90.00 90.00°
Space group Pmn2_1 (No. 31)
One atom of each set of equivalent atoms:
Fe  0.000  0.211  0.000 x2
O  0.000  0.944  0.688 x2
F  0.000  0.553  0.296 x2

The 12 most intense peaks (2θ from 10° to 90°), by intensity:
2θ 26.62, I = 100, hkl 0 1 1; 2θ 52.18, I = 32, hkl 1 1 2; 2θ 34.50, I = 29, hkl 1 0 1; 2θ 52.41, I = 27, hkl 1 2 1; 2θ 34.61, I = 26, hkl 1 1 0; 2θ 39.59, I = 21, hkl 1 1 1; 2θ 54.83, I = 16, hkl 0 2 2; 2θ 66.39, I = 12, hkl 2 1 1; 2θ 66.14, I = 12, hkl 1 0 3; 2θ 59.57, I = 10, hkl 2 0 0; 2θ 42.83, I = 9, hkl 0 2 1; 2θ 66.75, I = 8, hkl 1 3 0

Starting from a crystal structure in Alexandria, relaxed with PBE+U, the X-ray diffraction stick pattern of TiP6W3O24 was computed for Cu Ka.
Kinematic intensities with the Lorentz-polarization factor, no thermal factor.

Cell: 8.7817 8.7817 21.9995 Å, 90.00 90.00 120.00°
Space group R3 (No. 146, hexagonal axes)
One atom of each set of equivalent atoms:
Ti  0.0000  0.0000  0.0000 x3
P  0.0019  0.2836  0.8925 x9
P  0.0462  0.6702  0.0580 x9
W  0.0000  0.0000  0.2838 x3
W  0.0000  0.0000  0.4998 x3
W  0.0000  0.0000  0.7836 x3
O  0.0195  0.8276  0.0492 x9
O  0.0257  0.8246  0.3340 x9
O  0.0307  0.2033  0.8333 x9
O  0.0321  0.2038  0.5534 x9
O  0.1579  0.6989  0.1146 x9
O  0.1609  0.4792  0.6145 x9
O  0.1660  0.6969  0.3978 x9
O  0.1666  0.4698  0.8978 x9

The 12 most intense peaks (2θ from 10° to 90°), by intensity:
2θ 19.92, I = 100, hkl 1 0 4; 2θ 20.22, I = 82, hkl 1 1 0; 2θ 28.54, I = 56, hkl 0 2 4; 2θ 14.16, I = 42, hkl 0 1 2; 2θ 31.80, I = 40, hkl 1 1 6; 2θ 23.62, I = 38, hkl 2 -1 3; 2θ 35.23, I = 35, hkl 2 1 4; 2θ 35.41, I = 28, hkl 3 0 0; 2θ 46.09, I = 20, hkl 4 -3 4; 2θ 55.36, I = 20, hkl 1 4 0; 2θ 52.37, I = 20, hkl 3 -1 10; 2θ 45.66, I = 17, hkl 3 -2 8

Question: Number 2 is which compound?
Answer: TiP6W3O24